Structure and computed powder diffractogram of Ca2Tl3 (the PBE geometry in Alexandria; λ = 1.5418 Å (Cu Kα)).
Peak positions follow from Bragg's law for the DFT cell and can differ from measured ones.

Top 6 peaks for 2θ = 10–90°, in order of falling intensity:
2θ/deg	I_rel
31.39	1000
33.52	844
19.79	403
58.60	341
46.58	337
54.48	210

Crystal structure
```
Ca2Tl3
1.0
2.6735 1.5435 6.0271
-2.6735 1.5435 6.0271
0.0000 -3.0871 6.0271
Ca Tl
2 3
Direct
0.1032 0.1032 0.1032 Ca
0.8968 0.8968 0.8968 Ca
0.2982 0.2982 0.2982 Tl
0.5000 0.5000 0.5000 Tl
0.7018 0.7018 0.7018 Tl
```

Structure and computed powder diffractogram of ZrMo4Se8 (the PBE geometry in Alexandria; λ = 1.5418 Å (Cu Kα)).
Peak positions follow from Bragg's law for the DFT cell and can differ from measured ones.

Top 6 peaks for 2θ = 10–90°, in order of falling intensity:
2θ/deg	I_rel
34.56	1000
34.35	508
49.46	350
49.59	349
14.39	326
47.61	198

Crystal structure
```
ZrMo4Se8
1.0
6.4587 -3.5364 0.0000
6.4587 3.5364 0.0000
-4.4963 0.0000 6.1772
Zr Mo Se
1 4 8
Direct
0.0000 0.0000 0.0000 Zr
0.0000 0.0000 0.5000 Mo
0.0000 0.5000 0.0000 Mo
0.5000 0.0000 0.0000 Mo
0.5000 0.5000 0.5000 Mo
0.2507 0.2507 0.7522 Se
0.2557 0.2557 0.2585 Se
0.2560 0.7369 0.7457 Se
0.2631 0.7440 0.2543 Se
0.7369 0.2560 0.7457 Se
0.7440 0.2631 0.2543 Se
0.7443 0.7443 0.7415 Se
0.7493 0.7493 0.2478 Se
```

Structure and computed powder diffractogram of Rb2DyHF6 (the PBE geometry in Alexandria; λ = 1.5418 Å (Cu Kα)).
Peak positions follow from Bragg's law for the DFT cell and can differ from measured ones.

Top 6 peaks for 2θ = 10–90°, in order of falling intensity:
2θ/deg	I_rel
31.63	1000
18.02	949
25.23	807
35.99	675
48.66	550
31.19	309

Crystal structure
```
Rb2DyHF6
1.0
0.0000 4.9869 4.9953
3.4331 0.0000 4.9953
3.4331 4.9869 0.0000
Rb Dy H F
2 1 1 6
Direct
0.2500 0.2500 0.2500 Rb
0.7500 0.7500 0.7500 Rb
0.0000 0.0000 0.0000 Dy
0.5000 0.5000 0.5000 H
0.2151 0.2151 0.7849 F
0.2154 0.7846 0.2154 F
0.3308 0.6692 0.6692 F
0.6692 0.3308 0.3308 F
0.7846 0.2154 0.7846 F
0.7849 0.7849 0.2151 F
```

Structure and computed powder diffractogram of Tb2Pr8Cd (the PBE geometry in Alexandria; λ = 1.5418 Å (Cu Kα)).
Peak positions follow from Bragg's law for the DFT cell and can differ from measured ones.

Top 6 peaks for 2θ = 10–90°, in order of falling intensity:
2θ/deg	I_rel
30.14	1000
34.77	175
34.56	172
50.50	165
35.47	155
49.84	122

Crystal structure
```
Tb2Pr8Cd
1.0
5.7671 -2.5800 0.0000
5.7671 2.5800 0.0000
-3.1855 0.0000 12.5260
Tb Pr Cd
2 8 1
Direct
0.1841 0.1841 0.2613 Tb
0.8159 0.8159 0.7387 Tb
0.0907 0.0907 0.6408 Pr
0.2557 0.2557 0.9128 Pr
0.3593 0.3593 0.5474 Pr
0.4631 0.4631 0.1775 Pr
0.5369 0.5369 0.8225 Pr
0.6407 0.6407 0.4526 Pr
0.7443 0.7443 0.0872 Pr
0.9093 0.9093 0.3592 Pr
0.0000 0.0000 0.0000 Cd
```